Entry 1:
For Nd3GaAu4, DFT lattice parameters and positions (PBE) gives the computed powder diffractogram in this record (Cu Kα (λ = 1.5418 Å)).
Kinematic intensities with the Lorentz-polarization factor, no thermal factor.

Structure:
```
data_Nd3GaAu4
_chemical_formula_sum 'Nd3 Ga1 Au4'
_symmetry_space_group_name_H-M 'P 1 m 1'
_symmetry_Int_Tables_number 6
_symmetry_space_group_name_Hall 'P -2y'
_cell_length_a 5.7020
_cell_length_b 4.6910
_cell_length_c 7.3252
_cell_angle_alpha 90.00
_cell_angle_beta 91.34
_cell_angle_gamma 90.00
loop_
_atom_site_label
_atom_site_fract_x
_atom_site_fract_y
_atom_site_fract_z
Nd1 0.0000 0.0000 0.0000
Nd2 0.1975 0.0000 0.4907
Nd3 0.6908 0.5000 0.6208
Ga1 0.4702 0.5000 0.1422
Au1 0.0013 0.5000 0.2640
Au2 0.1854 0.5000 0.7822
Au3 0.4990 0.0000 0.8606
Au4 0.6671 0.0000 0.3275
```

Peak list (10 most intense, 15° ≤ 2θ ≤ 90°, by intensity)
| hkl | d_spacing | Rel. int. |
| --- | --- | --- |
| 1 1 2 | 2.556 | 1000 |
| 1 1 -2 | 2.594 | 946 |
| 0 1 2 | 2.886 | 873 |
| 2 1 -1 | 2.325 | 859 |
| 0 2 0 | 2.345 | 823 |
| 2 1 1 | 2.298 | 614 |
| 1 2 4 | 1.392 | 331 |
| 1 0 1 | 4.448 | 287 |
| 1 0 -4 | 1.754 | 273 |
| 2 0 -1 | 2.677 | 272 |

Entry 2:
For PrNdGa2Au2, DFT lattice parameters and positions (PBE) gives the computed powder diffractogram in this record (Cu Kα (λ = 1.5418 Å)).
Kinematic intensities with the Lorentz-polarization factor, no thermal factor.

Structure:
```
data_PrNdGa2Au2
_chemical_formula_sum 'Pr1 Nd1 Ga2 Au2'
_symmetry_space_group_name_H-M 'P -6 m 2'
_symmetry_Int_Tables_number 187
_symmetry_space_group_name_Hall 'P -6 2'
_cell_length_a 4.6120
_cell_length_b 4.6120
_cell_length_c 7.4927
_cell_angle_alpha 90.00
_cell_angle_beta 90.00
_cell_angle_gamma 120.00
loop_
_atom_site_label
_atom_site_fract_x
_atom_site_fract_y
_atom_site_fract_z
Pr1 0.0000 0.0000 0.0000
Nd1 0.0000 0.0000 0.5000
Ga1 0.3333 0.6667 0.2788
Au1 0.6667 0.3333 0.2420
```

Peak list (10 most intense, 15° ≤ 2θ ≤ 90°, by intensity)
| hkl | d_spacing | Rel. int. |
| --- | --- | --- |
| 1 0 2 | 2.732 | 1000 |
| 1 1 0 | 2.306 | 605 |
| 2 0 2 | 1.762 | 276 |
| 2 1 2 | 1.400 | 259 |
| 1 1 4 | 1.454 | 254 |
| 1 0 0 | 3.994 | 167 |
| 3 0 0 | 1.331 | 105 |
| 0 0 4 | 1.873 | 97 |
| 1 0 6 | 1.192 | 73 |
| 2 2 0 | 1.153 | 68 |

Entry 3:
For NdZrGa2Au2, DFT lattice parameters and positions (PBE) gives the computed powder diffractogram in this record (Cu Kα (λ = 1.5418 Å)).
Kinematic intensities with the Lorentz-polarization factor, no thermal factor.

Structure:
```
data_NdZrGa2Au2
_chemical_formula_sum 'Nd1 Zr1 Ga2 Au2'
_symmetry_space_group_name_H-M 'P -6 m 2'
_symmetry_Int_Tables_number 187
_symmetry_space_group_name_Hall 'P -6 2'
_cell_length_a 4.5192
_cell_length_b 4.5192
_cell_length_c 7.0432
_cell_angle_alpha 90.00
_cell_angle_beta 90.00
_cell_angle_gamma 120.00
loop_
_atom_site_label
_atom_site_fract_x
_atom_site_fract_y
_atom_site_fract_z
Nd1 0.0000 0.0000 0.0000
Zr1 0.0000 0.0000 0.5000
Ga1 0.3333 0.6667 0.2976
Au1 0.6667 0.3333 0.2745
```

Peak list (10 most intense, 15° ≤ 2θ ≤ 90°, by intensity)
| hkl | d_spacing | Rel. int. |
| --- | --- | --- |
| 1 0 2 | 2.618 | 1000 |
| 1 1 0 | 2.260 | 702 |
| 2 0 2 | 1.711 | 281 |
| 2 1 2 | 1.364 | 265 |
| 1 0 0 | 3.914 | 224 |
| 1 1 4 | 1.389 | 185 |
| 3 0 0 | 1.305 | 121 |
| 1 1 3 | 1.628 | 98 |
| 1 1 2 | 1.902 | 96 |
| 0 0 2 | 3.522 | 84 |